Diffraction record for BeBiHPb. The powder X-ray diffraction pattern is computed, not measured: it uses a cell relaxed with PBE and a wavelength of 1.5418 Å.
Peak positions follow from Bragg's law for the DFT cell and can differ from measured ones.

Principal peaks in the range 10 to 90 degrees two-theta, low angle first:
(1 0 0), 23.72 deg, I 26
(0 1 1), 29.71 deg, I 100
(0 0 2), 35.69 deg, I 13
(1 1 0), 41.71 deg, I 28
(1 0 2), 43.30 deg, I 13
(2 0 1), 52.04 deg, I 22
(1 1 2), 56.03 deg, I 23
(0 1 3), 60.46 deg, I 14
(1 2 1), 68.80 deg, I 19
(3 0 0), 76.14 deg, I 12

Atomic structure:
Cell: 4.3311 4.3311 5.0317 Å, 90.00 90.00 120.00°
Space group P3m1 (No. 156)
Asymmetric unit:
Be: 0.0000 0.0000 0.0000
Bi: 0.3333 0.6667 0.8140
H: 0.0000 0.0000 0.2866
Pb: 0.6667 0.3333 0.2927